No. 1
This entry pairs a crystal structure of TbCuSn3 with its computed X-ray powder pattern. Radiation: copper Kα. Structure: a GGA-PBE-relaxed structure.
Peak positions follow from Bragg's law for the DFT cell and can differ from measured ones.

Main lines, low angle first (2θ = 5–70°):
2θ 32.22, I 98
2θ 32.63, I 61
2θ 35.39, I 97
2θ 35.97, I 30
2θ 36.11, I 48
2θ 36.48, I 64
2θ 41.48, I 100
2θ 55.92, I 32
2θ 56.05, I 31
2θ 69.62, I 36

Structure:
```
data_TbCuSn3
_chemical_formula_sum 'Tb4 Cu4 Sn12'
_space_group_name_H-M_alt 'P b c m'
_space_group_IT_number 57
_cell_length_a 12.4825
_cell_length_b 6.2056
_cell_length_c 6.1107
_cell_angle_alpha 90.00
_cell_angle_beta 90.00
_cell_angle_gamma 90.00
loop_
_space_group_symop_operation_xyz
'x,y,z'
'-x,-y,-z'
'-x,-y,z+1/2'
'x,y,-z+1/2'
'x,-y+1/2,-z'
'-x,y+1/2,z'
'-x,y+1/2,-z+1/2'
'x,-y+1/2,z+1/2'
loop_
_atom_site_label
_atom_site_type_symbol
_atom_site_fract_x
_atom_site_fract_y
_atom_site_fract_z
Tb1 Tb 0.1975 0.0052 0.2500
Cu1 Cu 0.3834 0.2500 0.0000
Sn1 Sn 0.0009 0.2500 0.0000
Sn2 Sn 0.2605 0.5160 0.2500
Sn3 Sn 0.4454 0.6057 0.7500
```

---

No. 2
This entry pairs a crystal structure of La6Ga2Ru with its computed X-ray powder pattern. Radiation: copper Kα. Structure: a GGA-PBE-relaxed structure.
Peak positions follow from Bragg's law for the DFT cell and can differ from measured ones.

Main lines, low angle first (2θ = 5–70°):
2θ 27.26, I 51
2θ 27.40, I 44
2θ 28.37, I 70
2θ 28.75, I 100
2θ 28.86, I 75
2θ 30.52, I 36
2θ 31.13, I 55
2θ 33.95, I 38
2θ 34.44, I 42
2θ 36.99, I 40

Structure:
```
data_La6Ga2Ru
_chemical_formula_sum 'La12 Ga4 Ru2'
_space_group_name_H-M_alt 'P 1 21/c 1'
_space_group_IT_number 14
_cell_length_a 7.2234
_cell_length_b 7.7421
_cell_length_c 12.5048
_cell_angle_alpha 90.00
_cell_angle_beta 123.58
_cell_angle_gamma 90.00
loop_
_space_group_symop_operation_xyz
'x,y,z'
'-x,-y,-z'
'-x,y+1/2,-z+1/2'
'x,-y+1/2,z+1/2'
loop_
_atom_site_label
_atom_site_type_symbol
_atom_site_fract_x
_atom_site_fract_y
_atom_site_fract_z
La1 La 0.1340 0.1858 0.4474
La2 La 0.2685 0.6830 0.4494
La3 La 0.3605 0.0269 0.2449
Ga1 Ga 0.2122 0.0896 0.7446
Ru1 Ru 0.5000 0.0000 0.5000
```

---

No. 3
This entry pairs a crystal structure of Na5LiTl6 with its computed X-ray powder pattern. Radiation: copper Kα. Structure: a GGA-PBE-relaxed structure.
Peak positions follow from Bragg's law for the DFT cell and can differ from measured ones.

Main lines, low angle first (2θ = 5–70°):
2θ 18.98, I 60
2θ 26.08, I 57
2θ 32.46, I 100
2θ 35.63, I 19
2θ 38.50, I 15
2θ 38.76, I 16
2θ 40.67, I 17
2θ 43.49, I 15
2θ 47.10, I 22
2θ 62.00, I 15

Structure:
```
data_Na5LiTl6
_chemical_formula_sum 'Na10 Li2 Tl12'
_space_group_name_H-M_alt 'C m m m'
_space_group_IT_number 65
_space_group_name_Hall '-C 2 2'
_cell_length_a 4.6470
_cell_length_b 15.1208
_cell_length_c 9.3525
_cell_angle_alpha 90.00
_cell_angle_beta 90.00
_cell_angle_gamma 90.00
loop_
_atom_site_label
_atom_site_type_symbol
_atom_site_fract_x
_atom_site_fract_y
_atom_site_fract_z
Na1 Na 0.0000 0.0000 0.0000
Na2 Na 0.0000 0.3329 0.0000
Na3 Na 0.0000 0.3336 0.5000
Li1 Li 0.0000 0.0000 0.5000
Tl1 Tl 0.0000 0.1613 0.2541
Tl2 Tl 0.0000 0.5000 0.2680
```

---

No. 4
This entry pairs a crystal structure of CaLa2Ag2Pb2 with its computed X-ray powder pattern. Radiation: copper Kα. Structure: a GGA-PBE-relaxed structure.
Peak positions follow from Bragg's law for the DFT cell and can differ from measured ones.

Main lines, low angle first (2θ = 5–70°):
2θ 9.56, I 15
2θ 19.18, I 16
2θ 21.60, I 23
2θ 30.64, I 100
2θ 36.11, I 89
2θ 38.58, I 21
2θ 41.20, I 14
2θ 48.06, I 28
2θ 61.56, I 27
2θ 64.93, I 16

Structure:
```
data_CaLa2Ag2Pb2
_chemical_formula_sum 'Ca3 La6 Ag6 Pb6'
_space_group_name_H-M_alt 'R -3 m'
_space_group_IT_number 166
_space_group_name_Hall '-R 3 2"'
_cell_length_a 4.9750
_cell_length_b 4.9750
_cell_length_c 27.7646
_cell_angle_alpha 90.00
_cell_angle_beta 90.00
_cell_angle_gamma 120.00
loop_
_atom_site_label
_atom_site_type_symbol
_atom_site_fract_x
_atom_site_fract_y
_atom_site_fract_z
Ca1 Ca 0.0000 0.0000 0.0000
La1 La 0.0000 0.0000 0.1402
Ag1 Ag 0.0000 0.0000 0.4339
Pb1 Pb 0.0000 0.0000 0.2668
```

---

No. 5
This entry pairs a crystal structure of Al6Zn3Tc with its computed X-ray powder pattern. Radiation: copper Kα. Structure: a GGA-PBE-relaxed structure.
Peak positions follow from Bragg's law for the DFT cell and can differ from measured ones.

Main lines, low angle first (2θ = 5–70°):
2θ 15.63, I 100
2θ 26.09, I 17
2θ 31.65, I 12
2θ 34.67, I 16
2θ 38.99, I 52
2θ 41.39, I 42
2θ 42.21, I 42
2θ 42.46, I 38
2θ 44.64, I 30
2θ 45.30, I 34

Structure:
```
data_Al6Zn3Tc
_chemical_formula_sum 'Al36 Zn18 Tc6'
_space_group_name_H-M_alt 'R -3'
_space_group_IT_number 148
_space_group_name_Hall '-R 3'
_cell_length_a 11.3399
_cell_length_b 11.3399
_cell_length_c 8.7237
_cell_angle_alpha 90.00
_cell_angle_beta 90.00
_cell_angle_gamma 120.00
loop_
_atom_site_label
_atom_site_type_symbol
_atom_site_fract_x
_atom_site_fract_y
_atom_site_fract_z
Al1 Al 0.0032 0.2308 0.0552
Al2 Al 0.0725 0.4891 0.1253
Zn1 Zn 0.0192 0.1526 0.7508
Tc1 Tc 0.0000 0.0000 0.0000
Tc2 Tc 0.0000 0.0000 0.5000
```

---

No. 6
This entry pairs a crystal structure of MgCdAg2Cl6 with its computed X-ray powder pattern. Radiation: copper Kα. Structure: a GGA-PBE-relaxed structure.
Peak positions follow from Bragg's law for the DFT cell and can differ from measured ones.

Main lines, low angle first (2θ = 5–70°):
2θ 15.91, I 21
2θ 18.11, I 32
2θ 25.10, I 100
2θ 26.33, I 65
2θ 30.39, I 51
2θ 36.69, I 58
2θ 40.39, I 59
2θ 45.72, I 48
2θ 46.46, I 56
2θ 53.74, I 16

Structure:
```
data_MgCdAg2Cl6
_chemical_formula_sum 'Mg3 Cd3 Ag6 Cl18'
_space_group_name_H-M_alt 'R 3'
_space_group_IT_number 146
_space_group_name_Hall 'R 3'
_cell_length_a 6.7704
_cell_length_b 6.7704
_cell_length_c 17.8282
_cell_angle_alpha 90.00
_cell_angle_beta 90.00
_cell_angle_gamma 120.00
loop_
_atom_site_label
_atom_site_type_symbol
_atom_site_fract_x
_atom_site_fract_y
_atom_site_fract_z
Mg1 Mg 0.0000 0.0000 0.0000
Cd1 Cd 0.0000 0.0000 0.5023
Ag1 Ag 0.0000 0.0000 0.2906
Ag2 Ag 0.0000 0.0000 0.7864
Cl1 Cl 0.0002 0.3718 0.7420
Cl2 Cl 0.0473 0.6929 0.5789
```